The following is a calculated X-ray powder pattern of NdEuNi. It was derived from DFT lattice parameters and positions (PBE), using CuKα.
Intensities are scaled so that the largest is 100.

The 12 most intense peaks (15 to 90 degrees two-theta), in order of falling intensity:
- d = 2.747 Å, 2θ = 32.60°, I = 100
- d = 2.518 Å, 2θ = 35.66°, I = 62
- d = 3.433 Å, 2θ = 25.95°, I = 42
- d = 2.095 Å, 2θ = 43.19°, I = 33
- d = 1.494 Å, 2θ = 62.13°, I = 30
- d = 1.988 Å, 2θ = 45.64°, I = 27
- d = 3.238 Å, 2θ = 27.55°, I = 26
- d = 1.780 Å, 2θ = 51.32°, I = 22
- d = 1.362 Å, 2θ = 68.96°, I = 16
- d = 1.357 Å, 2θ = 69.26°, I = 16
- d = 1.560 Å, 2θ = 59.23°, I = 13
- d = 1.198 Å, 2θ = 80.13°, I = 10

```
NdEuNi
1.0
3.5607 0.0000 0.0000
0.0000 3.5607 0.0000
0.0000 0.0000 12.9516
Nd Eu Ni
2 2 2
direct
0.0000 0.0000 0.0000
0.5000 0.5000 0.5000
0.0000 0.0000 0.7428
0.5000 0.5000 0.2428
0.0000 0.0000 0.3874
0.5000 0.5000 0.8874
```

---

The following is a calculated X-ray powder pattern of SrNdEuSbO6. It was derived from DFT lattice parameters and positions (PBE), using CuKα.
Intensities are scaled so that the largest is 100.

The 12 most intense peaks (15 to 90 degrees two-theta), in order of falling intensity:
- d = 2.994 Å, 2θ = 29.84°, I = 100
- d = 2.981 Å, 2θ = 29.97°, I = 100
- d = 2.113 Å, 2θ = 42.79°, I = 72
- d = 2.954 Å, 2θ = 30.26°, I = 47
- d = 3.027 Å, 2θ = 29.51°, I = 46
- d = 1.741 Å, 2θ = 52.57°, I = 24
- d = 1.708 Å, 2θ = 53.65°, I = 23
- d = 1.716 Å, 2θ = 53.40°, I = 22
- d = 1.732 Å, 2θ = 52.87°, I = 21
- d = 1.497 Å, 2θ = 61.98°, I = 13
- d = 1.334 Å, 2θ = 70.62°, I = 13
- d = 1.723 Å, 2θ = 53.17°, I = 12

```
SrNdEuSbO6
1.0
5.9081 0.0000 0.0000
-0.0036 6.0549 0.0000
-0.0524 -0.0143 8.4448
Sr Nd Eu Sb O
2 2 2 2 12
direct
0.0117 0.4556 0.2507
0.9883 0.5444 0.7493
0.0000 0.0000 0.5000
0.5000 0.5000 0.0000
0.4857 0.9549 0.2501
0.5143 0.0451 0.7499
0.0000 0.0000 0.0000
0.5000 0.5000 0.5000
0.1032 0.9675 0.7709
0.1852 0.7270 0.0557
0.2244 0.6885 0.4541
0.2740 0.1892 0.0522
0.3184 0.2234 0.4432
0.4066 0.4592 0.7294
0.5934 0.5408 0.2706
0.6816 0.7766 0.5568
0.7260 0.8108 0.9478
0.7756 0.3115 0.5459
0.8148 0.2730 0.9443
0.8968 0.0325 0.2291
```

---

The following is a calculated X-ray powder pattern of NdEuTi4O12. It was derived from DFT lattice parameters and positions (PBE), using CuKα.
Intensities are scaled so that the largest is 100.

The 12 most intense peaks (15 to 90 degrees two-theta), in order of falling intensity:
- d = 4.468 Å, 2θ = 19.87°, I = 100
- d = 2.738 Å, 2θ = 32.71°, I = 55
- d = 2.336 Å, 2θ = 38.53°, I = 32
- d = 2.732 Å, 2θ = 32.78°, I = 28
- d = 1.581 Å, 2θ = 58.36°, I = 21
- d = 2.327 Å, 2θ = 38.69°, I = 18
- d = 1.776 Å, 2θ = 51.44°, I = 15
- d = 2.234 Å, 2θ = 40.38°, I = 14
- d = 1.940 Å, 2θ = 46.82°, I = 12
- d = 1.928 Å, 2θ = 47.14°, I = 11
- d = 1.367 Å, 2θ = 68.66°, I = 11
- d = 1.577 Å, 2θ = 58.53°, I = 11

```
NdEuTi4O12
1.0
7.7611 0.0000 0.0000
0.0000 3.8561 3.8714
0.0000 -3.8561 3.8714
Nd Eu Ti O
1 1 4 12
direct
0.0000 0.0000 0.0000
0.5000 0.5482 0.5482
0.2509 0.0346 0.5154
0.2509 0.5154 0.0346
0.7491 0.0346 0.5154
0.7491 0.5154 0.0346
0.0000 0.0117 0.5654
0.0000 0.5654 0.0117
0.2101 0.2318 0.2318
0.2590 0.3065 0.7433
0.2590 0.7433 0.3065
0.2681 0.7966 0.7966
0.5000 0.0586 0.4999
0.5000 0.4999 0.0586
0.7319 0.7966 0.7966
0.7410 0.3065 0.7433
0.7410 0.7433 0.3065
0.7899 0.2318 0.2318
```

---

The following is a calculated X-ray powder pattern of NdEuTc4. It was derived from DFT lattice parameters and positions (PBE), using CuKα.
Intensities are scaled so that the largest is 100.

The 10 most intense peaks (15 to 90 degrees two-theta), in order of falling intensity:
- d = 2.335 Å, 2θ = 38.56°, I = 100
- d = 2.738 Å, 2θ = 32.71°, I = 41
- d = 1.490 Å, 2θ = 62.31°, I = 32
- d = 2.235 Å, 2θ = 40.35°, I = 28
- d = 1.369 Å, 2θ = 68.56°, I = 26
- d = 1.581 Å, 2θ = 58.39°, I = 16
- d = 1.181 Å, 2θ = 81.52°, I = 11
- d = 1.167 Å, 2θ = 82.67°, I = 10
- d = 1.224 Å, 2θ = 78.06°, I = 7
- d = 1.936 Å, 2θ = 46.94°, I = 1

```
NdEuTc4
1.0
0.0000 3.8715 3.8715
3.8715 0.0000 3.8715
3.8715 3.8715 0.0000
Nd Eu Tc
1 1 4
direct
0.0000 0.0000 0.0000
0.2500 0.2500 0.2500
0.1249 0.6250 0.6250
0.6250 0.1249 0.6250
0.6250 0.6250 0.1249
0.6250 0.6250 0.6250
```

---

Question: Which formula does entry 1 have?
Answer: NdEuNi

---

Question: What is the formula in the second record?
Answer: SrNdEuSbO6

---

Question: Number 4 is which compound?
Answer: NdEuTc4